# K4Ac3TaO8
Simulated PXRD pattern, copper Kα. Input: a structure optimized by DFT (PBE).

Atomic structure:
```
K4Ac3TaO8
1.0
3.728 2.153 6.506
-3.728 2.153 6.506
0.000 -4.305 6.506
K Ac Ta O
4 3 1 8
Direct
0.000 0.000 0.000
0.000 0.500 0.500
0.500 0.000 0.500
0.500 0.500 0.000
0.000 0.000 0.500
0.000 0.500 0.000
0.500 0.000 0.000
0.500 0.500 0.500
0.235 0.235 0.235
0.290 0.690 0.690
0.310 0.310 0.710
0.310 0.710 0.310
0.690 0.290 0.690
0.690 0.690 0.290
0.710 0.310 0.310
0.765 0.765 0.765
```

Principal peaks in the range 2θ from 15° to 90°, by angle:
- 27.4°, d 3.253, intensity 38
- 28.0°, d 3.186, intensity 55
- 29.1°, d 3.065, intensity 92
- 33.3°, d 2.693, intensity 100
- 46.7°, d 1.947, intensity 35
- 48.9°, d 1.864, intensity 33
- 51.0°, d 1.792, intensity 27
- 56.9°, d 1.617, intensity 32

---

# KAcTaO4
Simulated PXRD pattern, copper Kα. Input: a structure optimized by DFT (PBE).

Atomic structure:
```
KAcTaO4
1.0
-3.489 3.673 5.147
3.489 -3.673 5.147
3.489 3.673 -5.147
K Ac Ta O
2 2 2 8
Direct
0.500 0.000 0.000
0.500 0.500 0.500
0.000 0.000 0.000
0.500 0.000 0.500
0.107 0.357 0.750
0.893 0.643 0.250
0.203 0.249 0.955
0.206 0.751 0.455
0.212 0.239 0.527
0.212 0.686 0.973
0.788 0.314 0.027
0.788 0.761 0.473
0.794 0.249 0.545
0.797 0.751 0.045
```

Principal peaks in the range 2θ from 15° to 90°, by angle:
- 24.7°, d 3.608, intensity 38
- 25.5°, d 3.489, intensity 35
- 28.8°, d 3.100, intensity 100
- 29.0°, d 3.079, intensity 57
- 29.6°, d 3.013, intensity 26
- 42.9°, d 2.108, intensity 26
- 47.1°, d 1.930, intensity 22
- 50.6°, d 1.804, intensity 37

---

# K2AcTc2O7
Simulated PXRD pattern, copper Kα. Input: a structure optimized by DFT (PBE).

Atomic structure:
```
K2AcTc2O7
1.0
-2.022 2.022 10.639
2.022 -2.022 10.639
2.022 2.022 -10.639
K Ac Tc O
2 1 2 7
Direct
0.189 0.189 0.000
0.811 0.811 0.000
0.000 0.000 0.000
0.405 0.405 0.000
0.595 0.595 0.000
0.086 0.586 0.500
0.318 0.318 0.000
0.414 0.914 0.500
0.500 0.500 0.000
0.586 0.086 0.500
0.682 0.682 0.000
0.914 0.414 0.500
```

Principal peaks in the range 2θ from 15° to 90°, by angle:
- 25.4°, d 3.513, intensity 32
- 30.5°, d 2.932, intensity 100
- 31.3°, d 2.860, intensity 55
- 37.0°, d 2.430, intensity 23
- 44.8°, d 2.022, intensity 31
- 53.7°, d 1.707, intensity 21
- 55.2°, d 1.665, intensity 38
- 63.5°, d 1.466, intensity 17

---

# K2Ac2TeO6
Simulated PXRD pattern, copper Kα. Input: a structure optimized by DFT (PBE).

Atomic structure:
```
K2Ac2TeO6
1.0
3.233 -5.529 0.000
3.233 5.529 0.000
-1.704 0.000 6.466
K Ac Te O
2 2 1 6
Direct
0.151 0.849 0.000
0.849 0.151 0.000
0.336 0.664 0.500
0.664 0.336 0.500
0.000 0.000 0.500
0.040 0.352 0.676
0.239 0.239 0.316
0.352 0.040 0.676
0.648 0.960 0.324
0.761 0.761 0.684
0.960 0.648 0.324
```

Principal peaks in the range 2θ from 15° to 90°, by angle:
- 27.6°, d 3.233, intensity 50
- 28.1°, d 3.175, intensity 61
- 28.4°, d 3.146, intensity 31
- 28.6°, d 3.126, intensity 42
- 29.7°, d 3.009, intensity 73
- 33.0°, d 2.715, intensity 100
- 34.5°, d 2.603, intensity 45
- 49.1°, d 1.857, intensity 31